1.
Starting from DFT lattice parameters and positions (GGA+U), the powder XRD pattern of BaCoSiO4 was calculated for Cu Kα (weighted mean of Kα1 and Kα2).
No peak broadening, texture or thermal motion is included.

Most intense lines, 10° ≤ 2θ ≤ 80°, sorted by position:
d/Å  2theta  I_rel
4.499  19.73  67.1
4.209  21.11  54.7
4.174  21.29  62.2
3.742  23.78  61.2
2.797  32.00  64.8
2.670  33.56  85.5
2.652  33.80  100.0
2.517  35.68  52.9
2.330  38.65  45.7
2.300  39.16  41.7
2.249  40.09  34.7
1.871  48.67  32.7

Cell and atoms:
```
BaCoSiO4
1.0
4.5266 -2.7971 0.0000
4.5266 2.7971 0.0000
-2.7601 0.0000 4.2094
Ba Co Si O
1 1 1 4
Direct
0.0000 0.0000 0.0000
0.2882 0.2882 0.7872
0.5316 0.5316 0.5352
0.3325 0.3325 0.2115
0.4008 0.8763 0.5410
0.5191 0.5191 0.8497
0.8763 0.4008 0.5410
```


2.
Starting from DFT lattice parameters and positions (GGA+U), the powder XRD pattern of BaSm2Co2O6 was calculated for Cu Kα (weighted mean of Kα1 and Kα2).
No peak broadening, texture or thermal motion is included.

Most intense lines, 10° ≤ 2θ ≤ 80°, sorted by position:
d/Å  2theta  I_rel
3.834  23.20  15.0
3.366  26.48  8.9
3.311  26.93  12.2
2.786  32.13  100.0
2.773  32.29  31.9
2.754  32.51  31.1
1.987  45.66  9.9
1.954  46.47  30.0
1.639  56.10  9.1
1.603  57.47  20.1
1.596  57.76  19.2
1.393  67.20  10.5

Cell and atoms:
```
BaSm2Co2O6
1.0
5.5079 0.0000 0.0000
0.0000 5.5456 0.0000
0.0000 0.0000 19.8673
Ba Sm Co O
4 8 8 24
Direct
0.2256 0.2357 0.0000
0.2744 0.7357 0.5000
0.7256 0.2643 0.5000
0.7744 0.7643 0.0000
0.2470 0.7585 0.3157
0.2470 0.7585 0.6843
0.2530 0.2585 0.1843
0.2530 0.2585 0.8157
0.7470 0.7415 0.1843
0.7470 0.7415 0.8157
0.7530 0.2415 0.3157
0.7530 0.2415 0.6843
0.2465 0.2528 0.4006
0.2465 0.2528 0.5994
0.2535 0.7528 0.0994
0.2535 0.7528 0.9006
0.7465 0.2472 0.0994
0.7465 0.2472 0.9006
0.7535 0.7472 0.4006
0.7535 0.7472 0.5994
0.0000 0.0000 0.1227
0.0000 0.0000 0.8773
0.0000 0.5000 0.1102
0.0000 0.5000 0.3879
0.0000 0.5000 0.6121
0.0000 0.5000 0.8898
0.1869 0.1811 0.2926
0.1869 0.1811 0.7074
0.2111 0.2168 0.5000
0.2889 0.7168 0.0000
0.3131 0.6811 0.2074
0.3131 0.6811 0.7926
0.5000 0.0000 0.1121
0.5000 0.0000 0.3898
0.5000 0.0000 0.6102
0.5000 0.0000 0.8879
0.5000 0.5000 0.3773
0.5000 0.5000 0.6227
0.6869 0.3189 0.2074
0.6869 0.3189 0.7926
0.7111 0.2832 0.0000
0.7889 0.7832 0.5000
0.8131 0.8189 0.2926
0.8131 0.8189 0.7074
```


3.
Starting from DFT lattice parameters and positions (GGA+U), the powder XRD pattern of BaSrCo4O8 was calculated for Cu Kα (weighted mean of Kα1 and Kα2).
No peak broadening, texture or thermal motion is included.

Most intense lines, 10° ≤ 2θ ≤ 80°, sorted by position:
d/Å  2theta  I_rel
8.037  11.01  11.6
3.052  29.26  100.0
2.709  33.07  70.3
2.567  34.96  13.3
2.026  44.74  29.7
2.009  45.13  12.0
1.622  56.75  29.5
1.614  57.08  26.5
1.564  59.07  20.3
1.354  69.39  7.7
1.238  77.04  12.2
1.234  77.32  12.9

Cell and atoms:
```
BaSrCo4O8
1.0
5.4173 0.0000 0.0000
-2.7086 4.6915 0.0000
0.0000 0.0000 8.0366
Ba Sr Co O
1 1 4 8
Direct
0.0000 0.0000 0.0000
0.0000 0.0000 0.5000
0.3333 0.6667 0.2274
0.3333 0.6667 0.7726
0.6667 0.3333 0.2274
0.6667 0.3333 0.7726
0.0000 0.3394 0.2922
0.0000 0.6606 0.7078
0.3333 0.6667 0.0000
0.3394 0.0000 0.2922
0.3394 0.3394 0.7078
0.6606 0.0000 0.7078
0.6606 0.6606 0.2922
0.6667 0.3333 0.0000
```